Structure and theoretical powder XRD pattern of CoH8S2O12 (a cell relaxed with PBE+U; copper Kα).

Atomic structure:
a b c (Å): 5.7054 8.2968 11.5744
angles (deg): 90.00 103.17 90.00
Space group P2_1/c (No. 14)
Asymmetric unit:
Co  0.0000  0.0000  0.0000 (multiplicity 2)
H  0.2068  0.0587  0.8193 (multiplicity 4)
H  0.2171  0.7155  0.0220 (multiplicity 4)
H  0.2199  0.6313  0.3487 (multiplicity 4)
H  0.3216  0.6902  0.6403 (multiplicity 4)
S  0.3650  0.2148  0.6333 (multiplicity 4)
O  0.1261  0.5306  0.3513 (multiplicity 4)
O  0.1778  0.7016  0.5747 (multiplicity 4)
O  0.2085  0.0835  0.5766 (multiplicity 4)
O  0.2860  0.1256  0.0724 (multiplicity 4)
O  0.3543  0.2256  0.7605 (multiplicity 4)
O  0.3807  0.6910  0.8735 (multiplicity 4)

Peak list (12 most intense, 5 to 70 degrees two-theta, most intense first)
index, Position (°2θ), d [Å], Rel. int.
1 0 -2, 19.7, 4.502, 100
0 1 1, 13.3, 6.681, 88
0 1 2, 19.0, 4.661, 87
1 2 0, 26.8, 3.323, 87
1 1 1, 22.1, 4.013, 64
1 0 -4, 32.2, 2.781, 40
1 1 2, 27.2, 3.279, 29
0 0 2, 15.7, 5.635, 29
1 1 0, 19.2, 4.616, 22
0 2 2, 26.7, 3.341, 21
1 1 -1, 19.3, 4.587, 19
1 3 2, 41.3, 2.186, 18


Structure and theoretical powder XRD pattern of CoH2SO5 (a cell relaxed with PBE+U; copper Kα).

Atomic structure:
a b c (Å): 6.8876 7.8137 7.5994
angles (deg): 90.00 115.90 90.00
Space group P2_1/c (No. 14)
Asymmetric unit:
Co  0.0000  0.0000  0.0000 (multiplicity 2)
Co  0.5000  0.0000  0.5000 (multiplicity 2)
H  0.1608  0.2082  0.2941 (multiplicity 4)
H  0.3381  0.2083  0.2060 (multiplicity 4)
S  0.2490  0.6595  0.2498 (multiplicity 4)
O  0.0515  0.7297  0.6568 (multiplicity 4)
O  0.2279  0.5503  0.3998 (multiplicity 4)
O  0.2501  0.1340  0.2505 (multiplicity 4)
O  0.2705  0.5505  0.1004 (multiplicity 4)
O  0.4461  0.7289  0.8432 (multiplicity 4)

Peak list (12 most intense, 5 to 70 degrees two-theta, most intense first)
index, Position (°2θ), d [Å], Rel. int.
1 1 1, 25.9, 3.441, 100
0 2 1, 26.3, 3.393, 56
0 2 2, 34.9, 2.573, 54
1 1 -1, 18.4, 4.811, 50
2 0 -2, 29.3, 3.053, 45
1 1 0, 18.3, 4.855, 36
2 2 -4, 54.0, 1.697, 30
3 1 -1, 41.4, 2.180, 21
3 1 -3, 46.1, 1.969, 18
2 2 -1, 34.7, 2.583, 17
1 3 -1, 37.5, 2.396, 16
2 4 0, 55.6, 1.652, 15